No. 1
For U2Si6Pd21, the GGA-PBE geometry in Alexandria gives the computed powder XRD pattern in this record (Cu Kα X-rays).

Crystal structure
```
data_U2Si6Pd21
_chemical_formula_sum 'U2 Si6 Pd21'
_space_group_name_H-M_alt 'P 1'
_space_group_IT_number 1
_space_group_name_Hall 'P 1'
_cell_length_a 8.662
_cell_length_b 8.662
_cell_length_c 8.662
_cell_angle_alpha 60.00
_cell_angle_beta 60.00
_cell_angle_gamma 60.00
loop_
_atom_site_label
_atom_site_type_symbol
_atom_site_fract_x
_atom_site_fract_y
_atom_site_fract_z
U1 U 0.250 0.250 0.250
U2 U 0.750 0.750 0.750
Si1 Si 0.237 0.237 0.763
Si2 Si 0.237 0.763 0.237
Si3 Si 0.237 0.763 0.763
Si4 Si 0.763 0.237 0.237
Si5 Si 0.763 0.237 0.763
Si6 Si 0.763 0.763 0.237
Pd1 Pd 0.117 0.117 0.117
Pd2 Pd 0.117 0.117 0.650
Pd3 Pd 0.117 0.650 0.117
Pd4 Pd 0.154 0.500 0.500
Pd5 Pd 0.154 0.500 0.846
Pd6 Pd 0.154 0.846 0.500
Pd7 Pd 0.350 0.883 0.883
Pd8 Pd 0.500 0.154 0.500
Pd9 Pd 0.500 0.154 0.846
Pd10 Pd 0.500 0.500 0.154
Pd11 Pd 0.500 0.500 0.500
Pd12 Pd 0.500 0.500 0.846
Pd13 Pd 0.500 0.846 0.154
Pd14 Pd 0.500 0.846 0.500
Pd15 Pd 0.650 0.117 0.117
Pd16 Pd 0.846 0.154 0.500
Pd17 Pd 0.846 0.500 0.154
Pd18 Pd 0.846 0.500 0.500
Pd19 Pd 0.883 0.350 0.883
Pd20 Pd 0.883 0.883 0.350
Pd21 Pd 0.883 0.883 0.883
```

Main lines, low angle first (5 to 70 degrees two-theta):
d = 2.739 Å, intensity 460; d = 2.500 Å, intensity 491; d = 2.357 Å, intensity 1000; d = 2.165 Å, intensity 418; d = 2.071 Å, intensity 292; d = 1.444 Å, intensity 369

No. 2
For V12Si3Pd, the GGA-PBE geometry in Alexandria gives the computed powder XRD pattern in this record (Cu Kα X-rays).

Crystal structure
```
data_V12Si3Pd
_chemical_formula_sum 'V12 Si3 Pd1'
_space_group_name_H-M_alt 'P 1'
_space_group_IT_number 1
_space_group_name_Hall 'P 1'
_cell_length_a 4.728
_cell_length_b 4.740
_cell_length_c 9.459
_cell_angle_alpha 90.00
_cell_angle_beta 90.00
_cell_angle_gamma 90.00
loop_
_atom_site_label
_atom_site_type_symbol
_atom_site_fract_x
_atom_site_fract_y
_atom_site_fract_z
V1 V 0.000 0.000 0.123
V2 V 0.000 0.000 0.370
V3 V 0.000 0.000 0.630
V4 V 0.000 0.000 0.877
V5 V 0.254 0.500 0.255
V6 V 0.254 0.500 0.745
V7 V 0.500 0.247 0.000
V8 V 0.500 0.249 0.500
V9 V 0.500 0.751 0.500
V10 V 0.500 0.753 0.000
V11 V 0.746 0.500 0.255
V12 V 0.746 0.500 0.745
Si1 Si 0.000 0.500 0.500
Si2 Si 0.500 0.000 0.252
Si3 Si 0.500 0.000 0.748
Pd1 Pd 0.000 0.500 0.000
```

Main lines, low angle first (5 to 70 degrees two-theta):
d = 9.459 Å, intensity 106; d = 4.733 Å, intensity 73; d = 4.233 Å, intensity 78; d = 2.366 Å, intensity 335; d = 2.117 Å, intensity 1000; d = 1.932 Å, intensity 701

No. 3
For VSiPd, the GGA-PBE geometry in Alexandria gives the computed powder XRD pattern in this record (Cu Kα X-rays).

Crystal structure
```
data_VSiPd
_chemical_formula_sum 'V2 Si2 Pd2'
_space_group_name_H-M_alt 'P 1'
_space_group_IT_number 1
_space_group_name_Hall 'P 1'
_cell_length_a 6.489
_cell_length_b 6.489
_cell_length_c 6.489
_cell_angle_alpha 36.64
_cell_angle_beta 36.64
_cell_angle_gamma 36.64
loop_
_atom_site_label
_atom_site_type_symbol
_atom_site_fract_x
_atom_site_fract_y
_atom_site_fract_z
V1 V 0.142 0.142 0.142
V2 V 0.858 0.858 0.858
Si1 Si 0.429 0.429 0.429
Si2 Si 0.571 0.571 0.571
Pd1 Pd 0.289 0.289 0.289
Pd2 Pd 0.711 0.711 0.711
```

Main lines, low angle first (5 to 70 degrees two-theta):
d = 3.291 Å, intensity 823; d = 2.531 Å, intensity 483; d = 2.089 Å, intensity 1000; d = 2.039 Å, intensity 938; d = 1.734 Å, intensity 126; d = 1.459 Å, intensity 301

No. 4
For YSi3Pd5, the GGA-PBE geometry in Alexandria gives the computed powder XRD pattern in this record (Cu Kα X-rays).

Crystal structure
```
data_YSi3Pd5
_chemical_formula_sum 'Y2 Si6 Pd10'
_space_group_name_H-M_alt 'P 1'
_space_group_IT_number 1
_space_group_name_Hall 'P 1'
_cell_length_a 6.562
_cell_length_b 6.562
_cell_length_c 12.645
_cell_angle_alpha 90.00
_cell_angle_beta 90.00
_cell_angle_gamma 145.65
loop_
_atom_site_label
_atom_site_type_symbol
_atom_site_fract_x
_atom_site_fract_y
_atom_site_fract_z
Y1 Y 0.145 0.855 0.750
Y2 Y 0.855 0.145 0.250
Si1 Si 0.119 0.881 0.250
Si2 Si 0.385 0.615 0.041
Si3 Si 0.385 0.615 0.459
Si4 Si 0.615 0.385 0.541
Si5 Si 0.615 0.385 0.959
Si6 Si 0.881 0.119 0.750
Pd1 Pd 0.000 0.000 0.000
Pd2 Pd 0.000 0.000 0.500
Pd3 Pd 0.206 0.794 0.077
Pd4 Pd 0.206 0.794 0.423
Pd5 Pd 0.449 0.551 0.646
Pd6 Pd 0.449 0.551 0.854
Pd7 Pd 0.551 0.449 0.146
Pd8 Pd 0.551 0.449 0.354
Pd9 Pd 0.794 0.206 0.577
Pd10 Pd 0.794 0.206 0.923
```

Main lines, low angle first (5 to 70 degrees two-theta):
d = 2.842 Å, intensity 444; d = 2.782 Å, intensity 952; d = 2.773 Å, intensity 616; d = 2.404 Å, intensity 951; d = 1.998 Å, intensity 1000; d = 1.938 Å, intensity 621

No. 5
For Y2Si4Pd3, the GGA-PBE geometry in Alexandria gives the computed powder XRD pattern in this record (Cu Kα X-rays).

Crystal structure
```
data_Y2Si4Pd3
_chemical_formula_sum 'Y4 Si8 Pd6'
_space_group_name_H-M_alt 'P 1'
_space_group_IT_number 1
_space_group_name_Hall 'P 1'
_cell_length_a 7.969
_cell_length_b 7.969
_cell_length_c 7.304
_cell_angle_alpha 90.00
_cell_angle_beta 90.00
_cell_angle_gamma 138.61
loop_
_atom_site_label
_atom_site_type_symbol
_atom_site_fract_x
_atom_site_fract_y
_atom_site_fract_z
Y1 Y 0.105 0.895 0.906
Y2 Y 0.395 0.605 0.406
Y3 Y 0.605 0.395 0.594
Y4 Y 0.895 0.105 0.094
Si1 Si 0.178 0.822 0.523
Si2 Si 0.187 0.313 0.750
Si3 Si 0.313 0.187 0.250
Si4 Si 0.322 0.678 0.023
Si5 Si 0.678 0.322 0.977
Si6 Si 0.687 0.813 0.750
Si7 Si 0.813 0.687 0.250
Si8 Si 0.822 0.178 0.477
Pd1 Pd 0.000 0.000 0.500
Pd2 Pd 0.022 0.478 0.750
Pd3 Pd 0.478 0.022 0.250
Pd4 Pd 0.500 0.500 0.000
Pd5 Pd 0.522 0.978 0.750
Pd6 Pd 0.978 0.522 0.250
```

Main lines, low angle first (5 to 70 degrees two-theta):
d = 3.320 Å, intensity 278; d = 3.279 Å, intensity 519; d = 2.635 Å, intensity 352; d = 2.608 Å, intensity 300; d = 2.479 Å, intensity 1000; d = 2.230 Å, intensity 678

No. 6
For YSiPd, the GGA-PBE geometry in Alexandria gives the computed powder XRD pattern in this record (Cu Kα X-rays).

Crystal structure
```
data_YSiPd
_chemical_formula_sum 'Y8 Si8 Pd8'
_space_group_name_H-M_alt 'P 1'
_space_group_IT_number 1
_space_group_name_Hall 'P 1'
_cell_length_a 4.339
_cell_length_b 14.026
_cell_length_c 7.474
_cell_angle_alpha 90.00
_cell_angle_beta 90.00
_cell_angle_gamma 90.00
loop_
_atom_site_label
_atom_site_type_symbol
_atom_site_fract_x
_atom_site_fract_y
_atom_site_fract_z
Y1 Y 0.250 0.001 0.209
Y2 Y 0.250 0.250 0.301
Y3 Y 0.250 0.499 0.209
Y4 Y 0.250 0.750 0.293
Y5 Y 0.750 0.250 0.707
Y6 Y 0.750 0.501 0.791
Y7 Y 0.750 0.750 0.699
Y8 Y 0.750 0.999 0.791
Si1 Si 0.250 0.103 0.592
Si2 Si 0.250 0.397 0.592
Si3 Si 0.250 0.658 0.909
Si4 Si 0.250 0.842 0.909
Si5 Si 0.750 0.158 0.091
Si6 Si 0.750 0.342 0.091
Si7 Si 0.750 0.603 0.408
Si8 Si 0.750 0.897 0.408
Pd1 Pd 0.250 0.142 0.923
Pd2 Pd 0.250 0.358 0.923
Pd3 Pd 0.250 0.594 0.582
Pd4 Pd 0.250 0.906 0.582
Pd5 Pd 0.750 0.094 0.418
Pd6 Pd 0.750 0.406 0.418
Pd7 Pd 0.750 0.642 0.077
Pd8 Pd 0.750 0.858 0.077
```

Main lines, low angle first (5 to 70 degrees two-theta):
d = 3.621 Å, intensity 258; d = 2.924 Å, intensity 213; d = 2.626 Å, intensity 272; d = 2.560 Å, intensity 1000; d = 2.169 Å, intensity 275; d = 2.161 Å, intensity 408

No. 7
For YZn2SiPd4, the GGA-PBE geometry in Alexandria gives the computed powder XRD pattern in this record (Cu Kα X-rays).

Crystal structure
```
data_YZn2SiPd4
_chemical_formula_sum 'Y1 Zn2 Si1 Pd4'
_space_group_name_H-M_alt 'P 1'
_space_group_IT_number 1
_space_group_name_Hall 'P 1'
_cell_length_a 7.817
_cell_length_b 7.817
_cell_length_c 7.817
_cell_angle_alpha 33.50
_cell_angle_beta 33.50
_cell_angle_gamma 33.50
loop_
_atom_site_label
_atom_site_type_symbol
_atom_site_fract_x
_atom_site_fract_y
_atom_site_fract_z
Y1 Y 0.000 0.000 0.000
Zn1 Zn 0.256 0.256 0.256
Zn2 Zn 0.744 0.744 0.744
Si1 Si 0.500 0.500 0.500
Pd1 Pd 0.135 0.135 0.135
Pd2 Pd 0.394 0.394 0.394
Pd3 Pd 0.606 0.606 0.606
Pd4 Pd 0.865 0.865 0.865
```

Main lines, low angle first (5 to 70 degrees two-theta):
d = 3.188 Å, intensity 65; d = 2.926 Å, intensity 58; d = 2.455 Å, intensity 162; d = 2.254 Å, intensity 1000; d = 1.660 Å, intensity 64; d = 1.594 Å, intensity 133

No. 8
For Zn2SiPd8, the GGA-PBE geometry in Alexandria gives the computed powder XRD pattern in this record (Cu Kα X-rays).

Crystal structure
```
data_Zn2SiPd8
_chemical_formula_sum 'Zn2 Si1 Pd8'
_space_group_name_H-M_alt 'P 1'
_space_group_IT_number 1
_space_group_name_Hall 'P 1'
_cell_length_a 7.528
_cell_length_b 7.528
_cell_length_c 7.528
_cell_angle_alpha 145.78
_cell_angle_beta 135.26
_cell_angle_gamma 57.50
loop_
_atom_site_label
_atom_site_type_symbol
_atom_site_fract_x
_atom_site_fract_y
_atom_site_fract_z
Zn1 Zn 0.186 0.186 0.000
Zn2 Zn 0.814 0.814 0.000
Si1 Si 0.500 0.500 0.000
Pd1 Pd 0.101 0.362 0.739
Pd2 Pd 0.245 0.000 0.245
Pd3 Pd 0.319 0.819 0.500
Pd4 Pd 0.377 0.638 0.739
Pd5 Pd 0.623 0.362 0.261
Pd6 Pd 0.681 0.181 0.500
Pd7 Pd 0.755 0.000 0.755
Pd8 Pd 0.899 0.638 0.261
```

Main lines, low angle first (5 to 70 degrees two-theta):
d = 2.628 Å, intensity 133; d = 2.268 Å, intensity 292; d = 2.215 Å, intensity 341; d = 2.200 Å, intensity 171; d = 2.111 Å, intensity 1000; d = 1.430 Å, intensity 117

No. 9
For ZnSi2Pd6, the GGA-PBE geometry in Alexandria gives the computed powder XRD pattern in this record (Cu Kα X-rays).

Crystal structure
```
data_ZnSi2Pd6
_chemical_formula_sum 'Zn1 Si2 Pd6'
_space_group_name_H-M_alt 'P 1'
_space_group_IT_number 1
_space_group_name_Hall 'P 1'
_cell_length_a 4.738
_cell_length_b 4.738
_cell_length_c 7.921
_cell_angle_alpha 111.02
_cell_angle_beta 111.02
_cell_angle_gamma 54.63
loop_
_atom_site_label
_atom_site_type_symbol
_atom_site_fract_x
_atom_site_fract_y
_atom_site_fract_z
Zn1 Zn 0.000 0.000 0.000
Si1 Si 0.339 0.339 0.730
Si2 Si 0.661 0.661 0.270
Pd1 Pd 0.038 0.038 0.691
Pd2 Pd 0.315 0.315 0.419
Pd3 Pd 0.359 0.359 0.060
Pd4 Pd 0.641 0.641 0.940
Pd5 Pd 0.685 0.685 0.581
Pd6 Pd 0.962 0.962 0.309
```

Main lines, low angle first (5 to 70 degrees two-theta):
d = 2.271 Å, intensity 321; d = 2.249 Å, intensity 839; d = 2.211 Å, intensity 1000; d = 2.174 Å, intensity 611; d = 2.017 Å, intensity 252; d = 1.934 Å, intensity 204

No. 10
For Sm2Pd13, the GGA-PBE geometry in Alexandria gives the computed powder XRD pattern in this record (Cu Kα X-rays).

Crystal structure
```
data_Sm2Pd13
_chemical_formula_sum 'Sm2 Pd13'
_space_group_name_H-M_alt 'P 1'
_space_group_IT_number 1
_space_group_name_Hall 'P 1'
_cell_length_a 7.978
_cell_length_b 7.978
_cell_length_c 7.978
_cell_angle_alpha 55.22
_cell_angle_beta 55.22
_cell_angle_gamma 55.22
loop_
_atom_site_label
_atom_site_type_symbol
_atom_site_fract_x
_atom_site_fract_y
_atom_site_fract_z
Sm1 Sm 0.243 0.243 0.243
Sm2 Sm 0.757 0.757 0.757
Pd1 Pd 0.000 0.000 0.000
Pd2 Pd 0.017 0.017 0.646
Pd3 Pd 0.017 0.646 0.017
Pd4 Pd 0.241 0.241 0.613
Pd5 Pd 0.241 0.613 0.241
Pd6 Pd 0.354 0.983 0.983
Pd7 Pd 0.387 0.759 0.759
Pd8 Pd 0.613 0.241 0.241
Pd9 Pd 0.646 0.017 0.017
Pd10 Pd 0.759 0.387 0.759
Pd11 Pd 0.759 0.759 0.387
Pd12 Pd 0.983 0.354 0.983
Pd13 Pd 0.983 0.983 0.354
```

Main lines, low angle first (5 to 70 degrees two-theta):
d = 6.105 Å, intensity 531; d = 2.403 Å, intensity 331; d = 2.351 Å, intensity 595; d = 2.183 Å, intensity 1000; d = 2.077 Å, intensity 328; d = 2.035 Å, intensity 459

No. 11
For Sm3Pd5, the GGA-PBE geometry in Alexandria gives the computed powder XRD pattern in this record (Cu Kα X-rays).

Crystal structure
```
data_Sm3Pd5
_chemical_formula_sum 'Sm6 Pd10'
_space_group_name_H-M_alt 'P 1'
_space_group_IT_number 1
_space_group_name_Hall 'P 1'
_cell_length_a 5.917
_cell_length_b 5.917
_cell_length_c 9.879
_cell_angle_alpha 90.00
_cell_angle_beta 90.00
_cell_angle_gamma 75.66
loop_
_atom_site_label
_atom_site_type_symbol
_atom_site_fract_x
_atom_site_fract_y
_atom_site_fract_z
Sm1 Sm 0.125 0.875 0.750
Sm2 Sm 0.298 0.298 0.000
Sm3 Sm 0.298 0.298 0.500
Sm4 Sm 0.702 0.702 0.000
Sm5 Sm 0.702 0.702 0.500
Sm6 Sm 0.875 0.125 0.250
Pd1 Pd 0.006 0.437 0.750
Pd2 Pd 0.184 0.816 0.049
Pd3 Pd 0.184 0.816 0.451
Pd4 Pd 0.437 0.006 0.250
Pd5 Pd 0.473 0.527 0.250
Pd6 Pd 0.527 0.473 0.750
Pd7 Pd 0.563 0.994 0.750
Pd8 Pd 0.816 0.184 0.549
Pd9 Pd 0.816 0.184 0.951
Pd10 Pd 0.994 0.563 0.250
```

Main lines, low angle first (5 to 70 degrees two-theta):
d = 2.752 Å, intensity 171; d = 2.479 Å, intensity 1000; d = 2.470 Å, intensity 330; d = 2.339 Å, intensity 431; d = 2.161 Å, intensity 356; d = 1.699 Å, intensity 233

No. 12
For Sm2Pd5, the GGA-PBE geometry in Alexandria gives the computed powder XRD pattern in this record (Cu Kα X-rays).

Crystal structure
```
data_Sm2Pd5
_chemical_formula_sum 'Sm4 Pd10'
_space_group_name_H-M_alt 'P 1'
_space_group_IT_number 1
_space_group_name_Hall 'P 1'
_cell_length_a 7.320
_cell_length_b 7.320
_cell_length_c 5.920
_cell_angle_alpha 90.00
_cell_angle_beta 90.00
_cell_angle_gamma 121.05
loop_
_atom_site_label
_atom_site_type_symbol
_atom_site_fract_x
_atom_site_fract_y
_atom_site_fract_z
Sm1 Sm 0.094 0.300 0.000
Sm2 Sm 0.300 0.094 0.500
Sm3 Sm 0.700 0.906 0.500
Sm4 Sm 0.906 0.700 0.000
Pd1 Pd 0.101 0.358 0.500
Pd2 Pd 0.268 0.732 0.250
Pd3 Pd 0.268 0.732 0.750
Pd4 Pd 0.358 0.101 0.000
Pd5 Pd 0.500 0.500 0.250
Pd6 Pd 0.500 0.500 0.750
Pd7 Pd 0.642 0.899 0.000
Pd8 Pd 0.732 0.268 0.250
Pd9 Pd 0.732 0.268 0.750
Pd10 Pd 0.899 0.642 0.500
```

Main lines, low angle first (5 to 70 degrees two-theta):
d = 2.678 Å, intensity 363; d = 2.387 Å, intensity 965; d = 2.360 Å, intensity 281; d = 2.287 Å, intensity 1000; d = 2.169 Å, intensity 858; d = 1.505 Å, intensity 249